[1]
Theoretical powder diffractogram
Compound: Tb3Ni2P4Ru2
Radiation: Cu Kα, 1.54184 Å
Structure: DFT lattice parameters and positions (GGA-PBE)
Intensities are scaled so that the largest is 100.

Peak list (8 most intense, 2θ from 10° to 90°, low angle first)
2θ = 27.2°, I = 21, hkl 0 1 1
2θ = 29.2°, I = 36, hkl 1 0 2
2θ = 32.4°, I = 70, hkl 1 0 3
2θ = 36.5°, I = 100, hkl 0 1 4
2θ = 46.7°, I = 68, hkl 1 1 0
2θ = 58.0°, I = 23, hkl 0 2 3
2θ = 60.7°, I = 22, hkl 2 0 4
2θ = 66.0°, I = 35, hkl 1 1 7

Cell lengths 3.8908, 3.8908, 14.4483 Å; angles 90.00, 90.00, 120.00 degrees
Space group P-3m1 (No. 164)
Unique sites:
Tb (0.0000, 0.0000, 0.0000) [1 per cell]
Tb (0.0000, 0.0000, 0.2712) [2 per cell]
Ni (0.3333, 0.6667, 0.1394) [2 per cell]
P (0.3333, 0.6667, 0.3982) [2 per cell]
P (0.3333, 0.6667, 0.8655) [2 per cell]
Ru (0.3333, 0.6667, 0.5634) [2 per cell]

---

[2]
Theoretical powder diffractogram
Compound: Hf2Nb3Re2
Radiation: Cu Kα, 1.54184 Å
Structure: DFT lattice parameters and positions (GGA-PBE)
Intensities are scaled so that the largest is 100.

Peak list (8 most intense, 2θ from 10° to 90°, low angle first)
2θ = 33.6°, I = 65, hkl 1 1 -2
2θ = 34.0°, I = 44, hkl 3 1 -1
2θ = 36.0°, I = 95, hkl 3 1 0
2θ = 37.6°, I = 100, hkl 3 1 -2
2θ = 38.1°, I = 63, hkl 4 0 0
2θ = 39.8°, I = 77, hkl 1 1 2
2θ = 44.3°, I = 65, hkl 0 2 0
2θ = 59.9°, I = 34, hkl 4 2 0

Cell lengths 10.3925, 4.0856, 7.0854 Å; angles 90.00, 114.76, 90.00 degrees
Space group C2/m (No. 12)
Unique sites:
Hf (0.1503, 0.0000, 0.2908) [4 per cell]
Nb (0.0000, 0.5000, 0.5000) [2 per cell]
Nb (0.1226, 0.5000, 0.9439) [4 per cell]
Re (0.1456, 0.0000, 0.7084) [4 per cell]

---

[3]
Theoretical powder diffractogram
Compound: Pr12Tm7Th
Radiation: Cu Kα, 1.54184 Å
Structure: DFT lattice parameters and positions (GGA-PBE)
Intensities are scaled so that the largest is 100.

Peak list (8 most intense, 2θ from 10° to 90°, low angle first)
2θ = 30.3°, I = 24, hkl 0 1 5
2θ = 30.5°, I = 100, hkl 1 3 1
2θ = 32.1°, I = 94, hkl 4 -1 2
2θ = 33.6°, I = 16, hkl 2 0 5
2θ = 38.2°, I = 18, hkl 4 -3 4
2θ = 52.9°, I = 18, hkl 1 4 6
2θ = 53.1°, I = 23, hkl 5 2 0
2θ = 56.2°, I = 12, hkl 7 -2 3

Cell lengths 12.4438, 12.4438, 15.3389 Å; angles 90.00, 90.00, 120.00 degrees
Space group R-3 (No. 148, hexagonal axes)
Unique sites:
Pr (0.0186, 0.5782, 0.2092) [18 per cell]
Pr (0.0584, 0.4673, 0.5871) [18 per cell]
Tm (0.0000, 0.0000, 0.0000) [3 per cell]
Tm (0.0464, 0.8640, 0.3062) [18 per cell]
Th (0.0000, 0.0000, 0.5000) [3 per cell]

---

[4]
Theoretical powder diffractogram
Compound: Pm2ScPb2O2
Radiation: Cu Kα, 1.54184 Å
Structure: DFT lattice parameters and positions (GGA-PBE)
Intensities are scaled so that the largest is 100.

Peak list (8 most intense, 2θ from 10° to 90°, low angle first)
2θ = 10.6°, I = 15, hkl 0 0 2
2θ = 30.1°, I = 64, hkl 1 1 0
2θ = 34.4°, I = 100, hkl 1 0 5
2θ = 43.1°, I = 29, hkl 2 0 0
2θ = 56.2°, I = 49, hkl 2 1 5
2θ = 64.1°, I = 15, hkl 1 1 10
2θ = 72.4°, I = 12, hkl 2 0 10
2θ = 89.0°, I = 14, hkl 3 2 5

Cell lengths 4.2020, 4.2020, 16.6497 Å; angles 90.00, 90.00, 90.00 degrees
Space group I4/mmm (No. 139)
Unique sites:
Pm (0.0000, 0.0000, 0.1013) [4 per cell]
Sc (0.0000, 0.0000, 0.5000) [2 per cell]
Pb (0.0000, 0.0000, 0.3003) [4 per cell]
O (0.0000, 0.5000, 0.0000) [4 per cell]